Starting from a PBE-relaxed structure, the powder diffractogram of Sc2AlCd was computed for Cu Kα (weighted mean of Kα1 and Kα2).
Neutral-atom scattering factors, no anomalous dispersion.

Top 8 peaks for 2θ from 5° to 70°, sorted by position:
22.2 deg, I 34
25.6 deg, I 6
36.6 deg, I 100
43.2 deg, I 18
52.7 deg, I 16
57.8 deg, I 7
59.5 deg, I 3
65.8 deg, I 32

Structure:
```
16
Lattice="6.9499 0.0000 0.0000 0.0000 6.9499 0.0000 0.0000 0.0000 6.9499" Properties=species:S:1:pos:R:3 pbc="T T T"
Sc 1.7375 1.7375 1.7375
Sc 1.7375 1.7375 5.2124
Sc 1.7375 5.2124 1.7375
Sc 1.7375 5.2124 5.2124
Sc 5.2124 1.7375 1.7375
Sc 5.2124 1.7375 5.2124
Sc 5.2124 5.2124 1.7375
Sc 5.2124 5.2124 5.2124
Al 0.0000 0.0000 0.0000
Al 0.0000 3.4749 3.4749
Al 3.4749 0.0000 3.4749
Al 3.4749 3.4749 0.0000
Cd 0.0000 0.0000 3.4749
Cd 0.0000 3.4749 0.0000
Cd 3.4749 0.0000 0.0000
Cd 3.4749 3.4749 3.4749
```

Starting from a PBE-relaxed structure, the powder diffractogram of Al2CdSe4 was computed for Cu Kα (weighted mean of Kα1 and Kα2).
Neutral-atom scattering factors, no anomalous dispersion.

Top 8 peaks for 2θ from 5° to 70°, sorted by position:
22.9 deg, I 53
27.0 deg, I 41
28.2 deg, I 85
32.7 deg, I 39
35.7 deg, I 31
42.8 deg, I 52
46.8 deg, I 100
55.6 deg, I 27

Structure:
```
14
Lattice="0.0000 5.4852 5.4852 5.4852 0.0000 5.4852 5.4852 5.4852 0.0000" Properties=species:S:1:pos:R:3 pbc="T T T"
Al 0.0000 0.0000 0.0000
Al 2.7426 2.7426 0.0000
Al 2.7426 0.0000 2.7426
Al 0.0000 2.7426 2.7426
Cd 4.1139 4.1139 4.1139
Cd 6.8566 6.8566 6.8566
Se 8.3816 5.3315 5.3315
Se 2.5888 2.5888 2.5888
Se 5.6390 5.6390 2.5888
Se 5.6390 2.5888 5.6390
Se 5.3315 8.3816 5.3315
Se 5.3315 5.3315 8.3816
Se 8.3816 8.3816 8.3816
Se 2.5888 5.6390 5.6390
```

Starting from a PBE-relaxed structure, the powder diffractogram of Al2CdSe4 was computed for Cu Kα (weighted mean of Kα1 and Kα2).
Neutral-atom scattering factors, no anomalous dispersion.

Top 8 peaks for 2θ from 5° to 70°, sorted by position:
17.1 deg, I 10
27.0 deg, I 100
34.7 deg, I 11
35.1 deg, I 13
43.5 deg, I 24
45.4 deg, I 41
52.0 deg, I 29
55.3 deg, I 11

Structure:
```
14
Lattice="5.8792 0.0000 0.0000 0.0000 5.8792 0.0000 0.0000 0.0000 10.8831" Properties=species:S:1:pos:R:3 pbc="T T T"
Al 0.0000 0.0000 0.0000
Al 0.0000 2.9396 2.7208
Al 2.9396 0.0000 8.1624
Al 2.9396 2.9396 5.4416
Cd 0.0000 0.0000 5.4416
Cd 2.9396 2.9396 0.0000
Se 1.3517 4.5219 9.3930
Se 1.3573 1.3517 1.4901
Se 1.5823 1.5879 6.9317
Se 1.5879 4.2970 3.9514
Se 4.2913 1.5823 3.9514
Se 4.2970 4.2913 6.9317
Se 4.5219 4.5275 1.4901
Se 4.5275 1.3573 9.3930
```

Starting from a PBE-relaxed structure, the powder diffractogram of Sm2AlCd was computed for Cu Kα (weighted mean of Kα1 and Kα2).
Neutral-atom scattering factors, no anomalous dispersion.

Top 8 peaks for 2θ from 5° to 70°, sorted by position:
20.5 deg, I 9
23.7 deg, I 15
33.7 deg, I 100
39.8 deg, I 5
41.6 deg, I 5
48.4 deg, I 18
54.6 deg, I 7
60.3 deg, I 37

Structure:
```
16
Lattice="7.5199 0.0000 0.0000 0.0000 7.5199 0.0000 0.0000 0.0000 7.5199" Properties=species:S:1:pos:R:3 pbc="T T T"
Sm 1.8800 1.8800 1.8800
Sm 1.8800 1.8800 5.6399
Sm 1.8800 5.6399 1.8800
Sm 1.8800 5.6399 5.6399
Sm 5.6399 1.8800 1.8800
Sm 5.6399 1.8800 5.6399
Sm 5.6399 5.6399 1.8800
Sm 5.6399 5.6399 5.6399
Al 0.0000 0.0000 0.0000
Al 0.0000 3.7600 3.7600
Al 3.7600 0.0000 3.7600
Al 3.7600 3.7600 0.0000
Cd 0.0000 0.0000 3.7600
Cd 0.0000 3.7600 0.0000
Cd 3.7600 0.0000 0.0000
Cd 3.7600 3.7600 3.7600
```